Computed X-ray powder pattern
Compound: Tb12Co6Ir
Radiation: CuKα
Structure: a crystal structure in Alexandria, relaxed with PBE
Intensities are scaled so that the largest is 100.

Top 8 peaks for 2θ from 10° to 90°, by intensity:
- 2θ = 35.2°, d 2.549, intensity 100, hkl 3 1 2
- 2θ = 32.5°, d 2.753, intensity 58, hkl 2 2 2
- 2θ = 29.6°, d 3.016, intensity 40, hkl 3 0 1
- 2θ = 59.8°, d 1.547, intensity 37, hkl 5 2 3
- 2θ = 56.2°, d 1.636, intensity 35, hkl 5 3 0
- 2θ = 37.7°, d 2.384, intensity 23, hkl 4 0 0
- 2θ = 69.7°, d 1.349, intensity 22, hkl 5 3 4
- 2θ = 48.7°, d 1.870, intensity 21, hkl 5 0 1

Atomic structure:
```
data_Tb12Co6Ir
_cell_length_a 9.5367
_cell_length_b 9.5367
_cell_length_c 9.5367
_cell_angle_alpha 90.00
_cell_angle_beta 90.00
_cell_angle_gamma 90.00
_symmetry_space_group_name_H-M 'I m -3'
_symmetry_Int_Tables_number 204
_symmetry_space_group_name_Hall '-I 2 2 3'
loop_
_atom_site_label
_atom_site_type_symbol
_atom_site_fract_x
_atom_site_fract_y
_atom_site_fract_z
Tb1 Tb 0.0000 0.2964 0.1911
Co1 Co 0.0000 0.1153 0.5000
Ir1 Ir 0.0000 0.0000 0.0000
```

Computed X-ray powder pattern
Compound: Ca2MgCd10
Radiation: CuKα
Structure: a crystal structure in Alexandria, relaxed with PBE
Intensities are scaled so that the largest is 100.

Top 8 peaks for 2θ from 10° to 90°, by intensity:
- 2θ = 34.9°, d 2.567, intensity 100, hkl 2 1 -2
- 2θ = 33.3°, d 2.689, intensity 98, hkl 0 4 1
- 2θ = 38.0°, d 2.371, intensity 85, hkl 0 3 3
- 2θ = 35.1°, d 2.556, intensity 79, hkl 1 4 0
- 2θ = 33.5°, d 2.673, intensity 57, hkl 1 3 -2
- 2θ = 18.5°, d 4.796, intensity 54, hkl 0 2 1
- 2θ = 37.4°, d 2.402, intensity 51, hkl 2 1 2
- 2θ = 40.1°, d 2.248, intensity 47, hkl 0 1 4

Atomic structure:
```
data_Ca2MgCd10
_cell_length_a 6.1290
_cell_length_b 11.2562
_cell_length_c 9.2024
_cell_angle_alpha 90.00
_cell_angle_beta 94.33
_cell_angle_gamma 90.00
_symmetry_space_group_name_H-M 'P 1 21/c 1'
_symmetry_Int_Tables_number 14
_symmetry_space_group_name_Hall '-P 2ybc'
loop_
_atom_site_label
_atom_site_type_symbol
_atom_site_fract_x
_atom_site_fract_y
_atom_site_fract_z
Ca1 Ca 0.0264 0.0973 0.1731
Mg1 Mg 0.5000 0.0000 0.0000
Cd1 Cd 0.0198 0.6235 0.9561
Cd2 Cd 0.2241 0.1638 0.8370
Cd3 Cd 0.2432 0.6783 0.6516
Cd4 Cd 0.4415 0.5417 0.1539
Cd5 Cd 0.4822 0.2367 0.5870
```

Computed X-ray powder pattern
Compound: AcLa4Se7
Radiation: CuKα
Structure: a crystal structure in Alexandria, relaxed with PBE
Intensities are scaled so that the largest is 100.

Top 8 peaks for 2θ from 10° to 90°, by intensity:
- 2θ = 29.7°, d 3.003, intensity 100, hkl 3 1 -2
- 2θ = 21.7°, d 4.100, intensity 86, hkl 2 0 2
- 2θ = 28.2°, d 3.161, intensity 79, hkl 3 1 -1
- 2θ = 42.8°, d 2.115, intensity 67, hkl 0 2 0
- 2θ = 30.8°, d 2.907, intensity 64, hkl 3 1 1
- 2θ = 22.2°, d 4.010, intensity 61, hkl 2 0 -3
- 2θ = 41.5°, d 2.173, intensity 53, hkl 6 0 1
- 2θ = 28.6°, d 3.122, intensity 48, hkl 2 0 -4

Atomic structure:
```
data_AcLa4Se7
_cell_length_a 14.3801
_cell_length_b 4.2290
_cell_length_c 12.7097
_cell_angle_alpha 90.00
_cell_angle_beta 105.05
_cell_angle_gamma 90.00
_symmetry_space_group_name_H-M 'C 1 m 1'
_symmetry_Int_Tables_number 8
_symmetry_space_group_name_Hall 'C -2y'
loop_
_atom_site_label
_atom_site_type_symbol
_atom_site_fract_x
_atom_site_fract_y
_atom_site_fract_z
Ac1 Ac 0.0000 0.0000 0.0000
La1 La 0.1134 0.0000 0.4226
La2 La 0.2254 0.0000 0.8372
La3 La 0.3130 0.5000 0.2365
La4 La 0.4130 0.0000 0.6069
Se1 Se 0.0672 0.0000 0.6351
Se2 Se 0.1155 0.5000 0.9161
Se3 Se 0.1597 0.0000 0.2102
Se4 Se 0.2718 0.5000 0.4713
Se5 Se 0.3500 0.5000 0.7670
Se6 Se 0.3671 0.0000 0.0701
Se7 Se 0.4550 0.0000 0.3707
```

Computed X-ray powder pattern
Compound: NdDyInPb
Radiation: CuKα
Structure: a crystal structure in Alexandria, relaxed with PBE
Intensities are scaled so that the largest is 100.

Top 8 peaks for 2θ from 10° to 90°, by intensity:
- 2θ = 32.1°, d 2.790, intensity 100, hkl 1 1 2
- 2θ = 35.7°, d 2.518, intensity 38, hkl 2 0 0
- 2θ = 61.8°, d 1.501, intensity 31, hkl 3 1 2
- 2θ = 54.8°, d 1.676, intensity 22, hkl 2 0 4
- 2θ = 40.2°, d 2.246, intensity 14, hkl 0 0 4
- 2θ = 51.3°, d 1.780, intensity 13, hkl 2 2 0
- 2θ = 67.9°, d 1.380, intensity 12, hkl 1 1 6
- 2θ = 67.1°, d 1.395, intensity 12, hkl 2 2 4

Atomic structure:
```
data_NdDyInPb
_cell_length_a 5.0359
_cell_length_b 5.0359
_cell_length_c 8.9826
_cell_angle_alpha 90.00
_cell_angle_beta 90.00
_cell_angle_gamma 90.00
_symmetry_space_group_name_H-M 'I -4 m 2'
_symmetry_Int_Tables_number 119
_symmetry_space_group_name_Hall 'I -4 -2'
loop_
_atom_site_label
_atom_site_type_symbol
_atom_site_fract_x
_atom_site_fract_y
_atom_site_fract_z
Nd1 Nd 0.0000 0.0000 0.0000
Dy1 Dy 0.0000 0.0000 0.5000
In1 In 0.0000 0.5000 0.7500
Pb1 Pb 0.0000 0.5000 0.2500
```

Computed X-ray powder pattern
Compound: BaSrTl
Radiation: CuKα
Structure: a crystal structure in Alexandria, relaxed with PBE
Intensities are scaled so that the largest is 100.

Top 8 peaks for 2θ from 10° to 90°, by intensity:
- 2θ = 27.7°, d 3.224, intensity 100, hkl 1 0 3
- 2θ = 30.0°, d 2.979, intensity 49, hkl 1 1 0
- 2θ = 11.8°, d 7.512, intensity 36, hkl 0 0 2
- 2θ = 51.8°, d 1.763, intensity 35, hkl 2 1 3
- 2θ = 36.7°, d 2.446, intensity 28, hkl 1 0 5
- 2θ = 42.9°, d 2.107, intensity 19, hkl 2 0 0
- 2θ = 57.8°, d 1.596, intensity 15, hkl 2 1 5
- 2θ = 32.3°, d 2.769, intensity 14, hkl 1 1 2

Atomic structure:
```
data_BaSrTl
_cell_length_a 4.2130
_cell_length_b 4.2130
_cell_length_c 15.0232
_cell_angle_alpha 90.00
_cell_angle_beta 90.00
_cell_angle_gamma 90.00
_symmetry_space_group_name_H-M 'I 4 m m'
_symmetry_Int_Tables_number 107
_symmetry_space_group_name_Hall 'I 4 -2'
loop_
_atom_site_label
_atom_site_type_symbol
_atom_site_fract_x
_atom_site_fract_y
_atom_site_fract_z
Ba1 Ba 0.0000 0.0000 0.0000
Sr1 Sr 0.0000 0.0000 0.2684
Tl1 Tl 0.0000 0.0000 0.6447
```

Computed X-ray powder pattern
Compound: Dy4Ge2Pb
Radiation: CuKα
Structure: a crystal structure in Alexandria, relaxed with PBE
Intensities are scaled so that the largest is 100.

Top 8 peaks for 2θ from 10° to 90°, by intensity:
- 2θ = 30.1°, d 2.968, intensity 100, hkl 1 0 3
- 2θ = 35.7°, d 2.513, intensity 75, hkl 3 2 1
- 2θ = 26.8°, d 3.322, intensity 40, hkl 2 2 0
- 2θ = 18.9°, d 4.703, intensity 31, hkl 2 0 0
- 2θ = 45.3°, d 2.003, intensity 29, hkl 3 3 2
- 2θ = 49.4°, d 1.844, intensity 20, hkl 4 3 1
- 2θ = 38.3°, d 2.351, intensity 20, hkl 4 0 0
- 2θ = 67.6°, d 1.386, intensity 19, hkl 6 3 1

Atomic structure:
```
data_Dy4Ge2Pb
_cell_length_a 9.4053
_cell_length_b 9.4053
_cell_length_c 9.3733
_cell_angle_alpha 90.00
_cell_angle_beta 90.00
_cell_angle_gamma 90.00
_symmetry_space_group_name_H-M 'I 41/a m d'
_symmetry_Int_Tables_number 141
loop_
_symmetry_equiv_pos_as_xyz
'x,y,z'
'-x,-y,-z'
'-y+1/4,x+3/4,z+1/4'
'y+1/4,-x+3/4,-z+1/4'
'-x+1/2,-y,z+1/2'
'x+1/2,y,-z+1/2'
'y+1/4,-x+1/4,z+3/4'
'-y+1/4,x+1/4,-z+3/4'
'x,-y,-z'
'-x,y,z'
'-y+1/4,-x+1/4,-z+3/4'
'y+1/4,x+1/4,z+3/4'
'-x+1/2,y,-z+1/2'
'x+1/2,-y,z+1/2'
'y+1/4,x+3/4,-z+1/4'
'-y+1/4,-x+3/4,z+1/4'
'x+1/2,y+1/2,z+1/2'
'-x+1/2,-y+1/2,-z+1/2'
'-y+3/4,x+1/4,z+3/4'
'y+3/4,-x+1/4,-z+3/4'
'-x,-y+1/2,z'
'x,y+1/2,-z'
'y+3/4,-x+3/4,z+1/4'
'-y+3/4,x+3/4,-z+1/4'
'x+1/2,-y+1/2,-z+1/2'
'-x+1/2,y+1/2,z+1/2'
'-y+3/4,-x+3/4,-z+1/4'
'y+3/4,x+3/4,z+1/4'
'-x,y+1/2,-z'
'x,-y+1/2,z'
'y+3/4,x+1/4,-z+3/4'
'-y+3/4,-x+1/4,z+3/4'
loop_
_atom_site_label
_atom_site_type_symbol
_atom_site_fract_x
_atom_site_fract_y
_atom_site_fract_z
Dy1 Dy 0.0000 0.0694 0.2051
Ge1 Ge 0.0000 0.0000 0.5000
Pb1 Pb 0.0000 0.2500 0.8750
```

Computed X-ray powder pattern
Compound: La3Ru5
Radiation: CuKα
Structure: a crystal structure in Alexandria, relaxed with PBE
Intensities are scaled so that the largest is 100.

Top 8 peaks for 2θ from 10° to 90°, by intensity:
- 2θ = 37.1°, d 2.426, intensity 100, hkl 4 0 0
- 2θ = 33.9°, d 2.645, intensity 92, hkl 1 5 0
- 2θ = 31.8°, d 2.817, intensity 62, hkl 0 4 1
- 2θ = 11.2°, d 7.926, intensity 62, hkl 1 1 0
- 2θ = 32.4°, d 2.767, intensity 57, hkl 2 2 1
- 2θ = 44.8°, d 2.022, intensity 55, hkl 4 4 -1
- 2θ = 35.4°, d 2.536, intensity 53, hkl 2 0 -2
- 2θ = 39.7°, d 2.269, intensity 50, hkl 2 4 1

Atomic structure:
```
data_La3Ru5
_cell_length_a 10.1971
_cell_length_b 13.7376
_cell_length_c 5.1752
_cell_angle_alpha 90.00
_cell_angle_beta 107.89
_cell_angle_gamma 90.00
_symmetry_space_group_name_H-M 'C 1 2/c 1'
_symmetry_Int_Tables_number 15
_symmetry_space_group_name_Hall '-C 2yc'
loop_
_atom_site_label
_atom_site_type_symbol
_atom_site_fract_x
_atom_site_fract_y
_atom_site_fract_z
La1 La 0.0000 0.0988 0.2500
La2 La 0.2474 0.3337 0.2006
Ru1 Ru 0.0000 0.4834 0.2500
Ru2 Ru 0.0377 0.3240 0.5407
Ru3 Ru 0.2334 0.4625 0.6896
```

Computed X-ray powder pattern
Compound: Tl5Hg2Pd2
Radiation: CuKα
Structure: a crystal structure in Alexandria, relaxed with PBE
Intensities are scaled so that the largest is 100.

Top 8 peaks for 2θ from 10° to 90°, by intensity:
- 2θ = 29.9°, d 2.984, intensity 100, hkl 1 1 2
- 2θ = 33.5°, d 2.672, intensity 44, hkl 0 2 0
- 2θ = 33.1°, d 2.708, intensity 43, hkl 4 0 1
- 2θ = 47.8°, d 1.902, intensity 31, hkl 4 2 1
- 2θ = 57.8°, d 1.596, intensity 20, hkl 1 3 2
- 2θ = 29.2°, d 3.055, intensity 19, hkl 1 1 -2
- 2θ = 37.4°, d 2.405, intensity 17, hkl 2 0 -3
- 2θ = 62.2°, d 1.492, intensity 15, hkl 2 2 4

Atomic structure:
```
data_Tl5Hg2Pd2
_cell_length_a 11.8463
_cell_length_b 5.3436
_cell_length_c 7.7096
_cell_angle_alpha 90.00
_cell_angle_beta 93.33
_cell_angle_gamma 90.00
_symmetry_space_group_name_H-M 'C 1 2/m 1'
_symmetry_Int_Tables_number 12
_symmetry_space_group_name_Hall '-C 2y'
loop_
_atom_site_label
_atom_site_type_symbol
_atom_site_fract_x
_atom_site_fract_y
_atom_site_fract_z
Tl1 Tl 0.0000 0.0000 0.0000
Tl2 Tl 0.1346 0.0000 0.4687
Tl3 Tl 0.1876 0.5000 0.1944
Hg1 Hg 0.0637 0.5000 0.7022
Pd1 Pd 0.2221 0.0000 0.1295
```